[1]
Computed PXRD pattern
Compound: Ce2SbSe6
Radiation: a wavelength of 1.5418 Å
Structure: a GGA-PBE-relaxed structure
Lines closer than 0.1° are merged.

Principal peaks in the range 2θ = 15–90°, in order of falling intensity:
2θ 29.25, I 100; 2θ 32.33, I 70; 2θ 31.74, I 64; 2θ 36.27, I 53; 2θ 15.16, I 49; 2θ 34.13, I 46; 2θ 28.78, I 43; 2θ 48.06, I 41; 2θ 38.31, I 39; 2θ 24.07, I 35

a = 6.8758 Å, b = 7.2394 Å, c = 11.3152 Å
α = 90.00°, β = 118.96°, γ = 90.00°
Element x y z (fractional)
1 Ce 0.1679 0.1100 0.2230
2 Ce 0.1679 0.3900 0.7230
3 Ce 0.8321 0.6100 0.2770
4 Ce 0.8321 0.8900 0.7770
5 Sb 0.5000 0.0000 0.0000
6 Sb 0.5000 0.5000 0.5000
7 Se 0.1178 0.1943 0.9425
8 Se 0.1178 0.3057 0.4425
9 Se 0.2391 0.6775 0.9203
10 Se 0.2391 0.8225 0.4203
11 Se 0.4282 0.0690 0.7444
12 Se 0.4282 0.4310 0.2444
13 Se 0.5718 0.5690 0.7556
14 Se 0.5718 0.9310 0.2556
15 Se 0.7609 0.1775 0.5797
16 Se 0.7609 0.3225 0.0797
17 Se 0.8822 0.6943 0.5575
18 Se 0.8822 0.8057 0.0575

=====

[2]
Computed PXRD pattern
Compound: SrMgTl2Cd
Radiation: a wavelength of 1.5418 Å
Structure: a GGA-PBE-relaxed structure
Lines closer than 0.1° are merged.

Principal peaks in the range 2θ = 15–90°, in order of falling intensity:
2θ 20.09, I 100; 2θ 27.68, I 81; 2θ 38.89, I 77; 2θ 38.43, I 72; 2θ 38.32, I 68; 2θ 30.13, I 60; 2θ 26.92, I 55; 2θ 55.82, I 54; 2θ 48.02, I 36; 2θ 43.74, I 28

a = 7.4390 Å, b = 7.4390 Å, c = 7.4390 Å
α = 143.29°, β = 143.29°, γ = 52.88°
Element x y z (fractional)
1 Sr 0.0000 0.0000 0.0000
2 Mg 0.2500 0.7500 0.5000
3 Tl 0.3879 0.3879 0.0000
4 Tl 0.6121 0.6121 0.0000
5 Cd 0.7500 0.2500 0.5000

=====

[3]
Computed PXRD pattern
Compound: Na5B7C3
Radiation: a wavelength of 1.5418 Å
Structure: a GGA-PBE-relaxed structure
Lines closer than 0.1° are merged.

Principal peaks in the range 2θ = 15–90°, in order of falling intensity:
2θ 41.66, I 100; 2θ 42.17, I 25; 2θ 35.69, I 13; 2θ 76.73, I 13; 2θ 64.25, I 11; 2θ 79.88, I 11; 2θ 56.42, I 10; 2θ 79.68, I 9; 2θ 79.39, I 8; 2θ 64.05, I 6

a = 8.5723 Å, b = 7.6898 Å, c = 7.6898 Å
α = 141.92°, β = 90.00°, γ = 90.00°
Element x y z (fractional)
1 Na 0.2467 0.9996 0.9996
2 Na 0.2491 0.2004 0.7996
3 Na 0.2491 0.7996 0.2004
4 Na 0.2501 0.3983 0.5987
5 Na 0.2501 0.5987 0.3983
6 Na 0.7499 0.3983 0.5987
7 Na 0.7499 0.5987 0.3983
8 Na 0.7509 0.2004 0.7996
9 Na 0.7509 0.7996 0.2004
10 Na 0.7533 0.9996 0.9996
11 B 0.0000 0.0763 0.2782
12 B 0.0000 0.2782 0.0763
13 B 0.0000 0.4504 0.8600
14 B 0.0000 0.6462 0.6462
15 B 0.0000 0.7345 0.9368
16 B 0.0000 0.8600 0.4504
17 B 0.0000 0.9368 0.7345
18 B 0.5000 0.1119 0.4972
19 B 0.5000 0.3364 0.3364
20 B 0.5000 0.4793 0.8814
21 B 0.5000 0.4972 0.1119
22 B 0.5000 0.7407 0.9293
23 B 0.5000 0.8814 0.4793
24 B 0.5000 0.9293 0.7407
25 C 0.0000 0.1333 0.5331
26 C 0.0000 0.3356 0.3356
27 C 0.0000 0.5331 0.1333
28 C 0.5000 0.0767 0.2667
29 C 0.5000 0.2667 0.0767
30 C 0.5000 0.6717 0.6717

=====

[4]
Computed PXRD pattern
Compound: Pr4Er3Ga4
Radiation: a wavelength of 1.5418 Å
Structure: a GGA-PBE-relaxed structure
Lines closer than 0.1° are merged.

Principal peaks in the range 2θ = 15–90°, in order of falling intensity:
2θ 32.40, I 100; 2θ 32.84, I 80; 2θ 33.35, I 77; 2θ 35.08, I 73; 2θ 49.33, I 49; 2θ 29.09, I 48; 2θ 25.95, I 36; 2θ 35.30, I 30; 2θ 64.57, I 28; 2θ 62.61, I 25

a = 10.4781 Å, b = 10.4781 Å, c = 10.4781 Å
α = 160.57°, β = 128.42°, γ = 55.63°
Element x y z (fractional)
1 Pr 0.0093 0.8345 0.1748
2 Pr 0.3402 0.1655 0.1748
3 Pr 0.6598 0.8345 0.8252
4 Pr 0.9907 0.1655 0.8252
5 Er 0.0000 0.5000 0.5000
6 Er 0.4080 0.4080 0.0000
7 Er 0.5920 0.5920 0.0000
8 Ga 0.2775 0.0000 0.2775
9 Ga 0.2800 0.7800 0.5000
10 Ga 0.7200 0.2200 0.5000
11 Ga 0.7225 0.0000 0.7225